# 1
Starting from a crystal structure in the Materials Project, relaxed with PBE+U, the PXRD pattern of Li4Fe2Cu3Sb3O16 was computed for Cu Kα (λ = 1.5418 Å).
Kinematic intensities with the Lorentz-polarization factor, no thermal factor.

Atomic structure:
abc: 6.145 6.145 9.705
angles: 91.68 91.68 58.87
Fractional coordinates of all 28 atoms:
Li (0.000, 0.000, 0.000)
Li (0.011, 0.011, 0.521)
Li (0.349, 0.349, 0.413)
Li (0.683, 0.683, 0.898)
Fe (0.371, 0.371, 0.991)
Fe (0.698, 0.698, 0.520)
Cu (0.191, 0.683, 0.726)
Cu (0.683, 0.191, 0.726)
Cu (0.851, 0.851, 0.232)
Sb (0.193, 0.193, 0.731)
Sb (0.358, 0.851, 0.229)
Sb (0.851, 0.358, 0.229)
O (0.025, 0.025, 0.817)
O (0.035, 0.035, 0.337)
O (0.054, 0.492, 0.865)
O (0.173, 0.173, 0.115)
O (0.187, 0.699, 0.117)
O (0.352, 0.352, 0.623)
O (0.356, 0.874, 0.609)
O (0.492, 0.054, 0.865)
O (0.500, 0.500, 0.854)
O (0.535, 0.535, 0.351)
O (0.536, 0.980, 0.350)
O (0.668, 0.668, 0.110)
O (0.699, 0.187, 0.117)
O (0.857, 0.857, 0.613)
O (0.874, 0.356, 0.609)
O (0.980, 0.536, 0.350)

Peak list (10 most intense, 5° ≤ 2θ ≤ 70°, low angle first)
| d [Å] | intensity |
| --- | --- |
| 4.850 | 100.0 |
| 4.752 | 32.1 |
| 4.656 | 39.6 |
| 2.629 | 31.9 |
| 2.562 | 32.6 |
| 2.549 | 27.5 |
| 2.528 | 32.5 |
| 2.057 | 28.3 |
| 2.025 | 33.2 |
| 1.535 | 27.8 |

# 2
Starting from a crystal structure in the Materials Project, relaxed with PBE+U, the PXRD pattern of CaLaCrWO6 was computed for Cu Kα (λ = 1.5418 Å).
Kinematic intensities with the Lorentz-polarization factor, no thermal factor.

Atomic structure:
abc: 5.578 5.707 9.598
angles: 90.00 124.75 90.00
Fractional coordinates of all 20 atoms:
Ca (0.000, 0.201, 0.000)
Ca (0.000, 0.799, 0.500)
La (0.467, 0.293, 0.496)
La (0.467, 0.707, 0.996)
Cr (0.233, 0.250, 0.749)
Cr (0.233, 0.750, 0.249)
W (0.732, 0.250, 0.248)
W (0.732, 0.750, 0.748)
O (0.084, 0.034, 0.299)
O (0.084, 0.966, 0.799)
O (0.376, 0.462, 0.196)
O (0.376, 0.538, 0.696)
O (0.479, 0.041, 0.703)
O (0.479, 0.959, 0.203)
O (0.575, 0.274, 0.996)
O (0.575, 0.726, 0.496)
O (0.898, 0.222, 0.501)
O (0.898, 0.778, 0.001)
O (0.984, 0.456, 0.796)
O (0.984, 0.544, 0.296)

Peak list (10 most intense, 5° ≤ 2θ ≤ 70°, low angle first)
| d [Å] | intensity |
| --- | --- |
| 4.624 | 39.7 |
| 4.584 | 15.7 |
| 4.525 | 22.0 |
| 2.854 | 32.8 |
| 2.818 | 68.8 |
| 2.790 | 100.0 |
| 2.396 | 16.7 |
| 1.995 | 35.0 |
| 1.972 | 18.7 |
| 1.621 | 37.7 |